Entry 1:
Mg7Si4: theoretical powder diffractogram (Cu Kα (λ = 1.5418 Å)), based on a cell relaxed with GGA-PBE.
No peak broadening, texture or thermal motion is included.

Largest 10 diffraction maxima, low angle first, 2θ = 10–80°:
2θ 10.66, rel. 40, hkl 0 0 2
2θ 35.29, rel. 91, hkl 1 0 -5
2θ 35.47, rel. 43, hkl 1 2 1
2θ 35.67, rel. 87, hkl -1 2 1
2θ 35.98, rel. 74, hkl 1 2 0
2θ 36.49, rel. 70, hkl 0 2 5
2θ 36.65, rel. 43, hkl 1 -2 1
2θ 37.53, rel. 80, hkl 1 0 6
2θ 38.99, rel. 44, hkl 0 2 -4
2θ 42.24, rel. 100, hkl 2 0 1

Cell and atoms:
Cell lengths 4.288, 6.254, 16.847 Å; angles 80.98, 86.23, 89.79 degrees
Space group P1 (No. 1)
Symmetry-distinct sites (fractional):
Mg (0.000, 0.000, 0.000) [1 per cell]
Mg (0.001, 0.502, 0.000) [1 per cell]
Mg (0.058, 0.581, 0.761) [1 per cell]
Mg (0.063, 0.063, 0.800) [1 per cell]
Mg (0.386, 0.950, 0.443) [1 per cell]
Mg (0.392, 0.451, 0.437) [1 per cell]
Mg (0.443, 0.480, 0.239) [1 per cell]
Mg (0.532, 0.295, 0.890) [1 per cell]
Mg (0.532, 0.779, 0.897) [1 per cell]
Mg (0.861, 0.665, 0.533) [1 per cell]
Mg (0.869, 0.145, 0.571) [1 per cell]
Mg (0.916, 0.230, 0.352) [1 per cell]
Mg (0.922, 0.749, 0.326) [1 per cell]
Mg (0.961, 0.207, 0.167) [1 per cell]
Si (0.343, 0.833, 0.609) [1 per cell]
Si (0.345, 0.441, 0.604) [1 per cell]
Si (0.432, 0.041, 0.275) [1 per cell]
Si (0.464, 0.889, 0.149) [1 per cell]
Si (0.488, 0.231, 0.056) [1 per cell]
Si (0.580, 0.889, 0.731) [1 per cell]
Si (0.588, 0.286, 0.725) [1 per cell]
Si (0.968, 0.684, 0.142) [1 per cell]

Entry 2:
TlBr: theoretical powder diffractogram (Cu Kα (λ = 1.5418 Å)), based on a cell relaxed with GGA-PBE.
No peak broadening, texture or thermal motion is included.

Largest 10 diffraction maxima, low angle first, 2θ = 10–80°:
2θ 22.71, rel. 32, hkl 1 1 1
2θ 26.28, rel. 100, hkl 2 0 0
2θ 37.51, rel. 79, hkl 2 2 0
2θ 44.30, rel. 18, hkl 3 1 1
2θ 46.39, rel. 29, hkl 2 2 2
2θ 54.10, rel. 14, hkl 4 0 0
2θ 59.41, rel. 8, hkl 3 3 1
2θ 61.12, rel. 38, hkl 4 2 0
2θ 67.69, rel. 28, hkl 4 2 2
2θ 72.42, rel. 6, hkl 5 1 1

Cell and atoms:
Cell lengths 6.781, 6.781, 6.781 Å; angles 90.00, 90.00, 90.00 degrees
Space group Fm-3m (No. 225)
Symmetry-distinct sites (fractional):
Tl (0.000, 0.000, 0.000) [4 per cell]
Br (0.000, 0.000, 0.500) [4 per cell]

Entry 3:
CdTe: theoretical powder diffractogram (Cu Kα (λ = 1.5418 Å)), based on a cell relaxed with GGA-PBE.
No peak broadening, texture or thermal motion is included.

Largest 10 diffraction maxima, low angle first, 2θ = 10–80°:
2θ 22.20, rel. 22, hkl 1 0 0
2θ 28.02, rel. 100, hkl 0 1 2
2θ 41.11, rel. 35, hkl 1 0 4
2θ 42.73, rel. 31, hkl 1 1 2
2θ 45.28, rel. 30, hkl 2 0 0
2θ 52.27, rel. 6, hkl 0 0 6
2θ 52.76, rel. 17, hkl 1 1 4
2θ 64.01, rel. 18, hkl 2 1 2
2θ 71.61, rel. 15, hkl 2 0 6
2θ 72.01, rel. 13, hkl 1 2 4

Cell and atoms:
Cell lengths 4.6247, 4.6247, 10.5000 Å; angles 90.00, 90.00, 120.00 degrees
Space group P3_121 (No. 152)
Symmetry-distinct sites (fractional):
Cd (0.0000, 0.4936, 0.1667) [3 per cell]
Te (0.0000, 0.4971, 0.6667) [3 per cell]